Diffraction record for Pu2Co17. The powder XRD pattern is simulated, not measured: it uses a DFT-relaxed cell (PBE, the Materials Project) and Cu Kα (weighted mean of Kα1 and Kα2).
Intensities are scaled so that the largest is 100.

Principal peaks in the range 5° ≤ 2θ ≤ 70°, in order of rising 2θ:
Position (°2θ)  Rel. int.
21.44  19
27.18  13
30.91  62
34.88  18
37.59  46
41.93  37
43.68  61
43.98  100
44.86  28
47.57  18
63.71  23
64.40  19

Atomic structure:
Cell: 8.289 8.289 8.081 Å, 90.00 90.00 120.00°
Fractional coordinates of all 38 atoms:
Pu1 0.000 0.000 0.250
Pu2 0.000 0.000 0.750
Pu3 0.333 0.667 0.250
Pu4 0.667 0.333 0.750
Co1 0.000 0.500 0.000
Co2 0.000 0.500 0.500
Co3 0.044 0.374 0.750
Co4 0.044 0.670 0.750
Co5 0.168 0.335 0.023
Co6 0.168 0.335 0.477
Co7 0.168 0.832 0.023
Co8 0.168 0.832 0.477
Co9 0.330 0.374 0.750
Co10 0.330 0.956 0.750
Co11 0.333 0.667 0.605
Co12 0.333 0.667 0.895
Co13 0.335 0.168 0.523
Co14 0.335 0.168 0.977
Co15 0.374 0.044 0.250
Co16 0.374 0.330 0.250
Co17 0.500 0.000 0.000
Co18 0.500 0.000 0.500
Co19 0.500 0.500 0.000
Co20 0.500 0.500 0.500
Co21 0.626 0.670 0.750
Co22 0.626 0.956 0.750
Co23 0.665 0.832 0.023
Co24 0.665 0.832 0.477
Co25 0.667 0.333 0.105
Co26 0.667 0.333 0.395
Co27 0.670 0.044 0.250
Co28 0.670 0.626 0.250
Co29 0.832 0.168 0.523
Co30 0.832 0.168 0.977
Co31 0.832 0.665 0.523
Co32 0.832 0.665 0.977
Co33 0.956 0.330 0.250
Co34 0.956 0.626 0.250


Diffraction record for TaO3. The powder XRD pattern is simulated, not measured: it uses a DFT-relaxed cell (PBE, the Materials Project) and Cu Kα (weighted mean of Kα1 and Kα2).
Intensities are scaled so that the largest is 100.

Principal peaks in the range 5° ≤ 2θ ≤ 70°, in order of rising 2θ:
Position (°2θ)  Rel. int.
21.95  53
32.67  100
38.51  46
44.76  14
48.91  14
51.37  55
54.22  10
60.49  5
63.91  22
65.99  32
68.46  7
69.66  8

Atomic structure:
Cell: 4.676 4.676 3.724 Å, 90.00 90.00 120.00°
Fractional coordinates of all 8 atoms:
Ta1 0.333 0.667 0.250
Ta2 0.667 0.333 0.750
O1 0.180 0.360 0.750
O2 0.180 0.820 0.750
O3 0.360 0.180 0.250
O4 0.640 0.820 0.750
O5 0.820 0.180 0.250
O6 0.820 0.640 0.250


Diffraction record for NaMgO3. The powder XRD pattern is simulated, not measured: it uses a DFT-relaxed cell (PBE, the Materials Project) and Cu Kα (weighted mean of Kα1 and Kα2).
Intensities are scaled so that the largest is 100.

Principal peaks in the range 5° ≤ 2θ ≤ 70°, in order of rising 2θ:
Position (°2θ)  Rel. int.
22.13  29
31.49  67
38.82  50
45.13  100
50.82  8
56.07  28
65.74  52

Atomic structure:
Cell: 4.018 4.018 4.018 Å, 90.00 90.00 90.00°
Fractional coordinates of all 5 atoms:
Na1 0.000 0.000 0.000
Mg1 0.500 0.500 0.500
O1 0.000 0.500 0.500
O2 0.500 0.000 0.500
O3 0.500 0.500 0.000


Diffraction record for Pr3Er. The powder XRD pattern is simulated, not measured: it uses a DFT-relaxed cell (PBE, the Materials Project) and Cu Kα (weighted mean of Kα1 and Kα2).
Intensities are scaled so that the largest is 100.

Principal peaks in the range 5° ≤ 2θ ≤ 70°, in order of rising 2θ:
Position (°2θ)  Rel. int.
29.88  100
34.64  51
49.80  36
59.16  43
62.08  12

Atomic structure:
Cell: 5.179 5.179 5.179 Å, 90.00 90.00 90.00°
Fractional coordinates of all 4 atoms:
Pr1 0.000 0.000 0.500
Pr2 0.000 0.500 0.000
Pr3 0.500 0.000 0.000
Er1 0.500 0.500 0.500


Diffraction record for CeNi2B3. The powder XRD pattern is simulated, not measured: it uses a DFT-relaxed cell (PBE, the Materials Project) and Cu Kα (weighted mean of Kα1 and Kα2).
Intensities are scaled so that the largest is 100.

Principal peaks in the range 5° ≤ 2θ ≤ 70°, in order of rising 2θ:
Position (°2θ)  Rel. int.
18.52  16
23.30  14
27.73  25
29.93  50
30.34  26
33.18  31
38.27  100
38.60  13
44.67  22
45.58  15
47.63  37
57.28  14

Atomic structure:
Cell: 7.218 7.218 7.218 Å, 116.12 116.12 96.85°
Fractional coordinates of all 24 atoms:
Ce1 0.000 0.000 0.000
Ce2 0.381 0.381 0.000
Ce3 0.439 0.939 0.500
Ce4 0.939 0.439 0.500
Ni1 0.306 0.306 0.545
Ni2 0.306 0.761 0.000
Ni3 0.490 0.717 0.773
Ni4 0.717 0.490 0.773
Ni5 0.717 0.944 0.227
Ni6 0.761 0.306 0.000
Ni7 0.761 0.761 0.455
Ni8 0.944 0.717 0.227
B1 0.062 0.062 0.457
B2 0.062 0.605 0.000
B3 0.097 0.479 0.164
B4 0.097 0.933 0.618
B5 0.315 0.479 0.382
B6 0.315 0.933 0.836
B7 0.479 0.097 0.164
B8 0.479 0.315 0.382
B9 0.605 0.062 0.000
B10 0.605 0.605 0.543
B11 0.933 0.097 0.618
B12 0.933 0.315 0.836


Diffraction record for MgNb4N4O4. The powder XRD pattern is simulated, not measured: it uses a DFT-relaxed cell (PBE, the Materials Project) and Cu Kα (weighted mean of Kα1 and Kα2).
Intensities are scaled so that the largest is 100.

Principal peaks in the range 5° ≤ 2θ ≤ 70°, in order of rising 2θ:
Position (°2θ)  Rel. int.
14.95  40
22.69  49
23.17  100
27.34  75
27.92  36
31.61  39
32.08  76
36.85  50
38.09  38
44.39  44
44.67  59
64.78  36

Atomic structure:
Cell: 6.457 6.457 6.748 Å, 104.01 104.01 36.62°
Fractional coordinates of all 13 atoms:
Mg1 0.000 0.000 0.000
Nb1 0.280 0.280 0.703
Nb2 0.394 0.394 0.290
Nb3 0.606 0.606 0.710
Nb4 0.720 0.720 0.297
N1 0.123 0.123 0.778
N2 0.233 0.233 0.355
N3 0.767 0.767 0.645
N4 0.877 0.877 0.222
O1 0.390 0.390 0.969
O2 0.437 0.437 0.610
O3 0.563 0.563 0.390
O4 0.610 0.610 0.031


Diffraction record for CaFe2S4. The powder XRD pattern is simulated, not measured: it uses a DFT-relaxed cell (PBE, the Materials Project) and Cu Kα (weighted mean of Kα1 and Kα2).
Intensities are scaled so that the largest is 100.

Principal peaks in the range 5° ≤ 2θ ≤ 70°, in order of rising 2θ:
Position (°2θ)  Rel. int.
14.97  35
24.58  44
28.91  100
29.04  53
35.09  72
43.22  10
46.02  22
46.07  36
46.25  16
50.28  21
50.45  85
50.77  23

Atomic structure:
Cell: 7.236 7.236 7.236 Å, 120.38 119.79 89.85°
Fractional coordinates of all 14 atoms:
Ca1 0.000 0.000 0.000
Ca2 0.500 0.000 0.500
Fe1 0.000 0.000 0.500
Fe2 0.000 0.500 0.000
Fe3 0.370 0.620 0.750
Fe4 0.630 0.380 0.250
S1 0.200 0.738 0.463
S2 0.225 0.262 0.963
S3 0.227 0.248 0.521
S4 0.227 0.706 0.979
S5 0.773 0.294 0.021
S6 0.773 0.752 0.479
S7 0.775 0.738 0.037
S8 0.800 0.262 0.537


Diffraction record for Y3HoC8. The powder XRD pattern is simulated, not measured: it uses a DFT-relaxed cell (PBE, the Materials Project) and Cu Kα (weighted mean of Kα1 and Kα2).
Intensities are scaled so that the largest is 100.

Principal peaks in the range 5° ≤ 2θ ≤ 70°, in order of rising 2θ:
Position (°2θ)  Rel. int.
7.13  19
14.30  4
25.18  5
28.15  100
28.82  38
34.37  61
45.45  42
49.39  20
50.65  32
57.81  29
58.20  20
59.70  3

Atomic structure:
Cell: 3.690 3.690 12.391 Å, 90.00 90.00 90.00°
Fractional coordinates of all 12 atoms:
Y1 0.000 0.000 0.000
Y2 0.500 0.500 0.250
Y3 0.500 0.500 0.750
Ho1 0.000 0.000 0.500
C1 0.000 0.000 0.198
C2 0.000 0.000 0.303
C3 0.000 0.000 0.697
C4 0.000 0.000 0.802
C5 0.500 0.500 0.053
C6 0.500 0.500 0.447
C7 0.500 0.500 0.553
C8 0.500 0.500 0.947


Diffraction record for Sr2YTi2TlO7. The powder XRD pattern is simulated, not measured: it uses a DFT-relaxed cell (PBE, the Materials Project) and Cu Kα (weighted mean of Kα1 and Kα2).
Intensities are scaled so that the largest is 100.

Principal peaks in the range 5° ≤ 2θ ≤ 70°, in order of rising 2θ:
Position (°2θ)  Rel. int.
6.89  17
13.81  14
23.79  17
26.70  16
30.99  100
32.38  53
33.14  12
34.97  12
43.20  14
46.44  29
54.23  20
56.88  36

Atomic structure:
Cell: 3.910 3.910 12.829 Å, 90.00 90.00 90.00°
Fractional coordinates of all 13 atoms:
Sr1 0.000 0.000 0.186
Sr2 0.000 0.000 0.814
Y1 0.000 0.000 0.500
Ti1 0.500 0.500 0.362
Ti2 0.500 0.500 0.638
Tl1 0.500 0.500 0.000
O1 0.000 0.000 0.000
O2 0.000 0.500 0.385
O3 0.000 0.500 0.615
O4 0.500 0.000 0.385
O5 0.500 0.000 0.615
O6 0.500 0.500 0.213
O7 0.500 0.500 0.787


Diffraction record for Al2O3. The powder XRD pattern is simulated, not measured: it uses a DFT-relaxed cell (PBE, the Materials Project) and Cu Kα (weighted mean of Kα1 and Kα2).
Intensities are scaled so that the largest is 100.

Principal peaks in the range 5° ≤ 2θ ≤ 70°, in order of rising 2θ:
Position (°2θ)  Rel. int.
21.23  19
28.46  73
28.66  100
35.04  22
37.25  31
38.83  22
47.34  15
54.80  20
55.23  12
55.39  16
55.65  16
62.13  15

Atomic structure:
Cell: 5.380 8.371 5.483 Å, 90.00 118.31 90.00°
Fractional coordinates of all 20 atoms:
Al1 0.036 0.156 0.240
Al2 0.036 0.344 0.740
Al3 0.448 0.043 0.733
Al4 0.448 0.457 0.233
Al5 0.552 0.543 0.767
Al6 0.552 0.957 0.267
Al7 0.964 0.656 0.260
Al8 0.964 0.844 0.760
O1 0.181 0.205 0.600
O2 0.181 0.295 0.100
O3 0.250 0.519 0.829
O4 0.250 0.981 0.329
O5 0.325 0.609 0.394
O6 0.325 0.891 0.894
O7 0.675 0.109 0.106
O8 0.675 0.391 0.606
O9 0.750 0.019 0.671
O10 0.750 0.481 0.171
O11 0.819 0.705 0.900
O12 0.819 0.795 0.400


Diffraction record for CeSe2. The powder XRD pattern is simulated, not measured: it uses a DFT-relaxed cell (PBE, the Materials Project) and Cu Kα (weighted mean of Kα1 and Kα2).
Intensities are scaled so that the largest is 100.

Principal peaks in the range 5° ≤ 2θ ≤ 70°, in order of rising 2θ:
Position (°2θ)  Rel. int.
14.14  62
24.34  36
30.62  100
33.87  10
41.46  17
41.97  42
44.51  21
45.66  31
52.84  21
59.54  8
63.74  11
69.66  18

Atomic structure:
Cell: 6.737 6.737 6.737 Å, 37.27 37.27 37.27°
Fractional coordinates of all 3 atoms:
Ce1 0.000 0.000 0.000
Se1 0.257 0.257 0.257
Se2 0.743 0.743 0.743